Computed powder XRD pattern of Mg8ZnN6 for a wavelength of 1.5418 Å, from a crystal structure in Alexandria, relaxed with GGA-PBE.
Kinematic intensities with the Lorentz-polarization factor, no thermal factor.

Most intense lines, 5° ≤ 2θ ≤ 70°, by angle:
two_theta, I/Imax, hkl
17.08, 37.6, 1 0 0
22.40, 34.3, 1 0 2
29.02, 31.8, 0 0 4
30.70, 81.5, 1 1 1
33.24, 67.3, 1 1 2
37.15, 46.0, 1 1 3
42.08, 100.0, 1 1 4
44.15, 36.1, 0 0 6
47.81, 27.0, 1 1 5
52.90, 97.1, 3 0 0

Atomic structure:
```
data_Mg8ZnN6
_chemical_formula_sum 'Mg16 Zn2 N12'
_space_group_name_H-M_alt 'P 63/m c m'
_space_group_IT_number 193
_space_group_name_Hall '-P 6c 2'
_cell_length_a 5.9956
_cell_length_b 5.9956
_cell_length_c 12.3065
_cell_angle_alpha 90.00
_cell_angle_beta 90.00
_cell_angle_gamma 120.00
loop_
_atom_site_label
_atom_site_fract_x
_atom_site_fract_y
_atom_site_fract_z
Mg1 0.0000 0.3289 0.0798
Mg2 0.3333 0.6667 0.2500
Zn1 0.0000 0.0000 0.2500
N1 0.0000 0.0000 0.0000
N2 0.0000 0.3309 0.2500
N3 0.3333 0.6667 0.0000
```


Computed powder XRD pattern of Au3Br2Cl4 for a wavelength of 1.5418 Å, from a crystal structure in Alexandria, relaxed with GGA-PBE.
Kinematic intensities with the Lorentz-polarization factor, no thermal factor.

Most intense lines, 5° ≤ 2θ ≤ 70°, by angle:
two_theta, I/Imax, hkl
12.78, 22.8, 0 2 0
18.20, 100.0, 0 2 1
23.20, 22.7, 3 1 -1
23.46, 28.5, 2 0 -2
24.14, 24.5, 1 1 -2
25.73, 26.4, 0 4 0
27.29, 23.7, 3 1 -2
28.63, 32.8, 2 2 1
37.19, 27.6, 2 0 2
40.47, 21.4, 4 2 -3

Atomic structure:
```
data_Au3Br2Cl4
_chemical_formula_sum 'Au12 Br8 Cl16'
_space_group_name_H-M_alt 'C 1 2/c 1'
_space_group_IT_number 15
_cell_length_a 11.989
_cell_length_b 13.848
_cell_length_c 7.744
_cell_angle_alpha 90.00
_cell_angle_beta 117.57
_cell_angle_gamma 90.00
loop_
_space_group_symop_operation_xyz
'x,y,z'
'-x,-y,-z'
'-x,y,-z+1/2'
'x,-y,z+1/2'
'x+1/2,y+1/2,z'
'-x+1/2,-y+1/2,-z'
'-x+1/2,y+1/2,-z+1/2'
'x+1/2,-y+1/2,z+1/2'
loop_
_atom_site_label
_atom_site_fract_x
_atom_site_fract_y
_atom_site_fract_z
Au1 0.000 0.109 0.250
Au2 0.124 0.406 0.614
Br1 0.152 0.091 0.120
Cl1 0.104 0.420 0.115
Cl2 0.121 0.238 0.583
```


Number 2 is which compound? Au3Br2Cl4